No. 1
Diffraction record for Pm4GeS7. The powder diffraction line list is computed, not measured: it uses DFT lattice parameters and positions (PBE) and copper Kα.
Kinematic intensities with the Lorentz-polarization factor, no thermal factor.

Principal peaks in the range 5° ≤ 2θ ≤ 70°, in order of rising 2θ:
2θ 23.66, I 1000, (2 0 2)
2θ 23.96, I 801, (2 0 -3)
2θ 27.28, I 340, (4 0 -1)
2θ 27.40, I 272, (1 1 -2)
2θ 30.69, I 341, (3 1 -1)
2θ 31.13, I 360, (3 1 0)
2θ 32.27, I 572, (3 1 -2)
2θ 33.52, I 465, (3 1 1)
2θ 41.26, I 359, (1 1 4)
2θ 46.16, I 468, (0 2 0)

Structure:
```
data_Pm4GeS7
_chemical_formula_sum 'Pm8 Ge2 S14'
_cell_length_a 13.079
_cell_length_b 3.934
_cell_length_c 11.808
_cell_angle_alpha 90.00
_cell_angle_beta 105.29
_cell_angle_gamma 90.00
_space_group_name_H-M_alt 'C 1 m 1'
_space_group_IT_number 8
_space_group_name_Hall 'C -2y'
loop_
_atom_site_label
_atom_site_type_symbol
_atom_site_fract_x
_atom_site_fract_y
_atom_site_fract_z
Pm1 Pm 0.000 0.000 0.000
Pm2 Pm 0.062 0.500 0.352
Pm3 Pm 0.173 0.000 0.756
Pm4 Pm 0.367 0.500 0.567
Ge1 Ge 0.276 0.500 0.159
S1 S 0.027 0.500 0.611
S2 S 0.113 0.500 0.913
S3 S 0.152 0.000 0.217
S4 S 0.208 0.000 0.513
S5 S 0.332 0.500 0.788
S6 S 0.405 0.000 0.104
S7 S 0.410 0.500 0.350
```

No. 2
Diffraction record for Pm4Ge2S. The powder diffraction line list is computed, not measured: it uses DFT lattice parameters and positions (PBE) and copper Kα.
Kinematic intensities with the Lorentz-polarization factor, no thermal factor.

Principal peaks in the range 5° ≤ 2θ ≤ 70°, in order of rising 2θ:
2θ 28.12, I 173, (2 0 2)
2θ 31.30, I 455, (1 0 3)
2θ 31.78, I 1000, (3 1 0)
2θ 37.40, I 427, (2 1 3)
2θ 37.64, I 226, (3 1 2)
2θ 37.78, I 224, (3 2 1)
2θ 50.08, I 183, (4 2 2)
2θ 52.10, I 163, (4 1 3)
2θ 52.40, I 223, (4 3 1)
2θ 64.48, I 145, (6 1 1)

Structure:
```
data_Pm4Ge2S
_chemical_formula_sum 'Pm16 Ge8 S4'
_cell_length_a 8.899
_cell_length_b 8.899
_cell_length_c 9.052
_cell_angle_alpha 90.00
_cell_angle_beta 90.00
_cell_angle_gamma 90.00
_space_group_name_H-M_alt 'I -4 2 d'
_space_group_IT_number 122
_space_group_name_Hall 'I -4 2bw'
loop_
_atom_site_label
_atom_site_type_symbol
_atom_site_fract_x
_atom_site_fract_y
_atom_site_fract_z
Pm1 Pm 0.069 0.191 0.309
Ge1 Ge 0.122 0.250 0.625
S1 S 0.000 0.000 0.000
```

No. 3
Diffraction record for Pm6Ge2S3. The powder diffraction line list is computed, not measured: it uses DFT lattice parameters and positions (PBE) and copper Kα.
Kinematic intensities with the Lorentz-polarization factor, no thermal factor.

Principal peaks in the range 5° ≤ 2θ ≤ 70°, in order of rising 2θ:
2θ 25.69, I 144, (0 0 2)
2θ 28.62, I 1000, (2 -1 1)
2θ 36.51, I 419, (2 -1 2)
2θ 44.96, I 310, (3 0 0)
2θ 47.14, I 256, (1 1 3)
2θ 52.50, I 133, (3 0 2)
2θ 52.79, I 64, (0 0 4)
2θ 54.17, I 168, (2 2 1)
2θ 59.25, I 100, (2 2 2)
2θ 67.18, I 88, (4 -2 3)

Structure:
```
data_Pm6Ge2S3
_chemical_formula_sum 'Pm6 Ge2 S3'
_cell_length_a 6.9840
_cell_length_b 6.9840
_cell_length_c 6.9367
_cell_angle_alpha 90.00
_cell_angle_beta 90.00
_cell_angle_gamma 120.00
_space_group_name_H-M_alt 'P -3 1 m'
_space_group_IT_number 162
_space_group_name_Hall '-P 3 2'
loop_
_atom_site_label
_atom_site_type_symbol
_atom_site_fract_x
_atom_site_fract_y
_atom_site_fract_z
Pm1 Pm 0.0000 0.3289 0.2491
Ge1 Ge 0.3333 0.6667 0.0000
S1 S 0.0000 0.0000 0.0000
S2 S 0.3333 0.6667 0.5000
```

No. 4
Diffraction record for Pm3Ge2S. The powder diffraction line list is computed, not measured: it uses DFT lattice parameters and positions (PBE) and copper Kα.
Kinematic intensities with the Lorentz-polarization factor, no thermal factor.

Principal peaks in the range 5° ≤ 2θ ≤ 70°, in order of rising 2θ:
2θ 19.99, I 11, (0 0 4)
2θ 26.06, I 320, (1 0 3)
2θ 30.18, I 1000, (1 1 0)
2θ 33.06, I 13, (1 0 5)
2θ 36.47, I 11, (1 1 4)
2θ 43.21, I 741, (2 0 0)
2θ 51.15, I 156, (2 1 3)
2θ 53.61, I 260, (2 0 6)
2θ 62.75, I 120, (2 2 0)
2θ 69.14, I 63, (3 0 3)

Structure:
```
data_Pm3Ge2S
_chemical_formula_sum 'Pm6 Ge4 S2'
_cell_length_a 4.188
_cell_length_b 4.188
_cell_length_c 17.763
_cell_angle_alpha 90.00
_cell_angle_beta 90.00
_cell_angle_gamma 90.00
_space_group_name_H-M_alt 'I 4/m m m'
_space_group_IT_number 139
_space_group_name_Hall '-I 4 2'
loop_
_atom_site_label
_atom_site_type_symbol
_atom_site_fract_x
_atom_site_fract_y
_atom_site_fract_z
Pm1 Pm 0.000 0.000 0.000
Pm2 Pm 0.000 0.000 0.337
Ge1 Ge 0.000 0.000 0.165
S1 S 0.000 0.000 0.500
```

No. 5
Diffraction record for PmGeS4. The powder diffraction line list is computed, not measured: it uses DFT lattice parameters and positions (PBE) and copper Kα.
Kinematic intensities with the Lorentz-polarization factor, no thermal factor.

Principal peaks in the range 5° ≤ 2θ ≤ 70°, in order of rising 2θ:
2θ 24.06, I 1000, (1 1 1)
2θ 25.75, I 147, (2 0 0)
2θ 33.00, I 150, (2 1 1)
2θ 36.73, I 316, (2 2 0)
2θ 41.26, I 521, (2 0 2)
2θ 44.39, I 378, (3 1 1)
2θ 52.05, I 118, (1 1 3)
2θ 59.76, I 88, (4 2 0)
2θ 65.39, I 128, (3 1 3)
2θ 69.23, I 95, (4 2 2)

Structure:
```
data_PmGeS4
_chemical_formula_sum 'Pm2 Ge2 S8'
_cell_length_a 6.920
_cell_length_b 6.920
_cell_length_c 5.648
_cell_angle_alpha 90.00
_cell_angle_beta 90.00
_cell_angle_gamma 90.00
_space_group_name_H-M_alt 'P 4/n b m'
_space_group_IT_number 125
loop_
_space_group_symop_operation_xyz
'x,y,z'
'-x,-y,-z'
'-y+1/2,x,z'
'y+1/2,-x,-z'
'-x+1/2,-y+1/2,z'
'x+1/2,y+1/2,-z'
'y,-x+1/2,z'
'-y,x+1/2,-z'
'x,-y+1/2,-z'
'-x,y+1/2,z'
'-y+1/2,-x+1/2,-z'
'y+1/2,x+1/2,z'
'-x+1/2,y,-z'
'x+1/2,-y,z'
'y,x,-z'
'-y,-x,z'
loop_
_atom_site_label
_atom_site_type_symbol
_atom_site_fract_x
_atom_site_fract_y
_atom_site_fract_z
Pm1 Pm 0.250 0.250 0.000
Ge1 Ge 0.250 0.750 0.500
S1 S 0.069 0.569 0.257
```

No. 6
Diffraction record for PmTlGeS3. The powder diffraction line list is computed, not measured: it uses DFT lattice parameters and positions (PBE) and copper Kα.
Kinematic intensities with the Lorentz-polarization factor, no thermal factor.

Principal peaks in the range 5° ≤ 2θ ≤ 70°, in order of rising 2θ:
2θ 15.38, I 365, (1 0 1)
2θ 17.38, I 656, (0 0 2)
2θ 22.61, I 381, (2 0 -2)
2θ 24.72, I 580, (1 1 0)
2θ 28.48, I 1000, (0 1 2)
2θ 30.69, I 371, (2 1 0)
2θ 31.22, I 662, (3 0 0)
2θ 33.85, I 531, (1 1 -3)
2θ 38.40, I 337, (3 1 -2)
2θ 42.29, I 379, (1 0 -5)

Structure:
```
data_PmTlGeS3
_chemical_formula_sum 'Pm2 Tl2 Ge2 S6'
_cell_length_a 9.026
_cell_length_b 3.966
_cell_length_c 10.718
_cell_angle_alpha 90.00
_cell_angle_beta 107.81
_cell_angle_gamma 90.00
_space_group_name_H-M_alt 'P 1 21/m 1'
_space_group_IT_number 11
_space_group_name_Hall '-P 2yb'
loop_
_atom_site_label
_atom_site_type_symbol
_atom_site_fract_x
_atom_site_fract_y
_atom_site_fract_z
Pm1 Pm 0.185 0.250 0.133
Tl1 Tl 0.183 0.250 0.736
Ge1 Ge 0.468 0.750 0.387
S1 S 0.149 0.750 0.940
S2 S 0.195 0.750 0.321
S3 S 0.493 0.750 0.748
```